(1)
Starting from a cell relaxed with GGA-PBE, the powder diffraction line list of TmSeF was computed for λ = 1.5418 Å (Cu Kα).

Crystal structure
Unit cell a=4.0487 b=4.0487 c=17.6595 alpha=90.00 beta=90.00 gamma=120.00
Space group P6_3/mmc (No. 194)
Symmetry-distinct sites (fractional):
Tm: 0.0000 0.0000 0.0000 [2 per cell]
Tm: 0.3333 0.6667 0.2500 [2 per cell]
Se: 0.3333 0.6667 0.0893 [4 per cell]
F: 0.0000 0.0000 0.2500 [2 per cell]
F: 0.3333 0.6667 0.7500 [2 per cell]

Peak list (6 most intense, 10° ≤ 2θ ≤ 80°, sorted by position)
- (0 0 4), 20.11 deg, I = 580
- (1 0 1), 25.91 deg, I = 1000
- (1 0 2), 27.37 deg, I = 914
- (1 0 6), 39.99 deg, I = 802
- (1 1 0), 44.77 deg, I = 805
- (1 1 4), 49.54 deg, I = 319


(2)
Starting from a cell relaxed with GGA-PBE, the powder diffraction line list of Y16Se16F15 was computed for λ = 1.5418 Å (Cu Kα).

Crystal structure
Unit cell a=10.023 b=4.136 c=25.683 alpha=90.00 beta=97.65 gamma=90.00
Space group Pm (No. 6)
Symmetry-distinct sites (fractional):
Y: 0.000 0.000 0.000 [1 per cell]
Y: 0.031 0.500 0.621 [1 per cell]
Y: 0.082 0.000 0.250 [1 per cell]
Y: 0.118 0.500 0.868 [1 per cell]
Y: 0.168 0.000 0.496 [1 per cell]
Y: 0.200 0.500 0.118 [1 per cell]
Y: 0.284 0.500 0.367 [1 per cell]
Y: 0.419 0.000 0.740 [1 per cell]
Y: 0.498 0.000 0.993 [1 per cell]
Y: 0.543 0.500 0.619 [1 per cell]
Y: 0.584 0.000 0.243 [1 per cell]
Y: 0.615 0.500 0.875 [1 per cell]
Y: 0.663 0.000 0.497 [1 per cell]
Y: 0.701 0.500 0.125 [1 per cell]
Y: 0.781 0.500 0.377 [1 per cell]
Y: 0.916 0.000 0.751 [1 per cell]
Se: 0.059 0.500 0.425 [1 per cell]
Se: 0.140 0.000 0.692 [1 per cell]
Se: 0.226 0.000 0.943 [1 per cell]
Se: 0.271 0.500 0.568 [1 per cell]
Se: 0.309 0.000 0.193 [1 per cell]
Se: 0.354 0.500 0.816 [1 per cell]
Se: 0.397 0.000 0.441 [1 per cell]
Se: 0.438 0.500 0.068 [1 per cell]
Se: 0.522 0.500 0.317 [1 per cell]
Se: 0.679 0.000 0.801 [1 per cell]
Se: 0.762 0.000 0.050 [1 per cell]
Se: 0.803 0.500 0.677 [1 per cell]
Se: 0.846 0.000 0.302 [1 per cell]
Se: 0.891 0.500 0.925 [1 per cell]
Se: 0.932 0.000 0.549 [1 per cell]
Se: 0.974 0.500 0.175 [1 per cell]
F: 0.048 0.500 0.039 [1 per cell]
F: 0.058 0.000 0.832 [1 per cell]
F: 0.142 0.500 0.286 [1 per cell]
F: 0.152 0.000 0.079 [1 per cell]
F: 0.224 0.000 0.331 [1 per cell]
F: 0.450 0.500 0.705 [1 per cell]
F: 0.500 0.000 0.659 [1 per cell]
F: 0.531 0.500 0.957 [1 per cell]
F: 0.582 0.000 0.911 [1 per cell]
F: 0.589 0.000 0.575 [1 per cell]
F: 0.618 0.500 0.207 [1 per cell]
F: 0.669 0.000 0.161 [1 per cell]
F: 0.698 0.500 0.460 [1 per cell]
F: 0.750 0.000 0.413 [1 per cell]
F: 0.976 0.500 0.786 [1 per cell]

Peak list (6 most intense, 10° ≤ 2θ ≤ 80°, sorted by position)
- (0 1 4), 25.69 deg, I = 1000
- (3 0 3), 30.21 deg, I = 563
- (2 1 7), 39.20 deg, I = 495
- (2 1 -9), 40.86 deg, I = 496
- (4 1 -1), 42.19 deg, I = 445
- (0 2 0), 43.78 deg, I = 420


(3)
Starting from a cell relaxed with GGA-PBE, the powder diffraction line list of Si3F was computed for λ = 1.5418 Å (Cu Kα).

Crystal structure
Unit cell a=5.980 b=5.980 c=5.980 alpha=90.00 beta=90.00 gamma=90.00
Space group Fm-3m (No. 225)
Symmetry-distinct sites (fractional):
Si: 0.000 0.000 0.000 [4 per cell]
Si: 0.250 0.250 0.250 [8 per cell]
F: 0.000 0.000 0.500 [4 per cell]

Peak list (6 most intense, 10° ≤ 2θ ≤ 80°, sorted by position)
- (1 1 1), 25.80 deg, I = 19
- (2 0 0), 29.88 deg, I = 10
- (2 2 0), 42.77 deg, I = 1000
- (3 1 1), 50.62 deg, I = 12
- (4 0 0), 62.08 deg, I = 154
- (4 2 2), 78.32 deg, I = 309


(4)
Starting from a cell relaxed with GGA-PBE, the powder diffraction line list of Tl2SiF6 was computed for λ = 1.5418 Å (Cu Kα).

Crystal structure
Unit cell a=8.659 b=8.659 c=8.659 alpha=90.00 beta=90.00 gamma=90.00
Space group Fm-3m (No. 225)
Symmetry-distinct sites (fractional):
Tl: 0.250 0.250 0.250 [8 per cell]
Si: 0.000 0.000 0.000 [4 per cell]
F: 0.000 0.000 0.199 [24 per cell]

Peak list (6 most intense, 10° ≤ 2θ ≤ 80°, sorted by position)
- (2 0 0), 20.51 deg, I = 723
- (2 2 0), 29.17 deg, I = 1000
- (2 2 2), 35.93 deg, I = 516
- (4 0 0), 41.72 deg, I = 313
- (4 2 0), 46.92 deg, I = 427
- (4 2 2), 51.72 deg, I = 373


(5)
Starting from a cell relaxed with GGA-PBE, the powder diffraction line list of SmF2 was computed for λ = 1.5418 Å (Cu Kα).

Crystal structure
Unit cell a=5.735 b=5.735 c=5.735 alpha=90.00 beta=90.00 gamma=90.00
Space group Fm-3m (No. 225)
Symmetry-distinct sites (fractional):
Sm: 0.000 0.000 0.000 [4 per cell]
F: 0.250 0.250 0.250 [8 per cell]

Peak list (6 most intense, 10° ≤ 2θ ≤ 80°, sorted by position)
- (1 1 1), 26.93 deg, I = 1000
- (2 0 0), 31.19 deg, I = 272
- (2 2 0), 44.69 deg, I = 595
- (3 1 1), 52.95 deg, I = 465
- (3 3 1), 71.73 deg, I = 187
- (4 2 0), 73.90 deg, I = 111


(6)
Starting from a cell relaxed with GGA-PBE, the powder diffraction line list of Sm2F was computed for λ = 1.5418 Å (Cu Kα).

Crystal structure
Unit cell a=27.504 b=3.888 c=7.634 alpha=90.00 beta=98.00 gamma=90.00
Space group Cm (No. 8)
Symmetry-distinct sites (fractional):
Sm: 0.000 0.000 0.000 [2 per cell]
Sm: 0.000 0.000 0.499 [2 per cell]
Sm: 0.099 0.500 0.293 [2 per cell]
Sm: 0.101 0.500 0.807 [2 per cell]
Sm: 0.199 0.000 0.098 [2 per cell]
Sm: 0.203 0.000 0.599 [2 per cell]
Sm: 0.300 0.500 0.399 [2 per cell]
Sm: 0.301 0.500 0.899 [2 per cell]
Sm: 0.398 0.000 0.200 [2 per cell]
Sm: 0.402 0.000 0.697 [2 per cell]
F: 0.052 0.000 0.773 [2 per cell]
F: 0.151 0.500 0.572 [2 per cell]
F: 0.249 0.500 0.122 [2 per cell]
F: 0.351 0.500 0.675 [2 per cell]
F: 0.449 0.500 0.223 [2 per cell]

Peak list (6 most intense, 10° ≤ 2θ ≤ 80°, sorted by position)
- (5 1 0), 28.20 deg, I = 1000
- (4 0 2), 28.55 deg, I = 976
- (1 1 -2), 32.88 deg, I = 876
- (9 1 2), 47.19 deg, I = 550
- (4 2 2), 55.68 deg, I = 302
- (3 1 4), 56.29 deg, I = 289


(7)
Starting from a cell relaxed with GGA-PBE, the powder diffraction line list of SmF3 was computed for λ = 1.5418 Å (Cu Kα).

Crystal structure
Unit cell a=7.0351 b=7.0351 c=6.9895 alpha=90.00 beta=90.00 gamma=120.00
Space group P6_3/mcm (No. 193)
Symmetry-distinct sites (fractional):
Sm: 0.0000 0.3322 0.2500 [6 per cell]
F: 0.0000 0.0000 0.0000 [2 per cell]
F: 0.0000 0.3442 0.5829 [12 per cell]
F: 0.3333 0.6667 0.2500 [4 per cell]

Peak list (6 most intense, 10° ≤ 2θ ≤ 80°, sorted by position)
- (1 1 0), 25.32 deg, I = 298
- (0 0 2), 25.49 deg, I = 322
- (1 1 1), 28.41 deg, I = 1000
- (3 0 0), 44.62 deg, I = 491
- (1 1 3), 46.77 deg, I = 530
- (3 0 2), 52.07 deg, I = 326


(8)
Starting from a cell relaxed with GGA-PBE, the powder diffraction line list of SmF3 was computed for λ = 1.5418 Å (Cu Kα).

Crystal structure
Unit cell a=6.679 b=7.101 c=4.460 alpha=90.00 beta=90.00 gamma=90.00
Space group Pnma (No. 62)
Symmetry-distinct sites (fractional):
Sm: 0.132 0.250 0.065 [4 per cell]
F: 0.020 0.750 0.421 [4 per cell]
F: 0.164 0.564 0.887 [8 per cell]

Peak list (6 most intense, 10° ≤ 2θ ≤ 80°, sorted by position)
- (1 0 1), 23.99 deg, I = 651
- (0 2 0), 25.08 deg, I = 707
- (1 1 1), 27.12 deg, I = 1000
- (2 1 0), 29.56 deg, I = 785
- (3 0 1), 45.49 deg, I = 780
- (2 3 0), 47.06 deg, I = 395


(9)
Starting from a cell relaxed with GGA-PBE, the powder diffraction line list of SmZrF7 was computed for λ = 1.5418 Å (Cu Kα).

Crystal structure
Unit cell a=9.271 b=5.845 c=12.449 alpha=90.00 beta=117.86 gamma=90.00
Space group P2_1/c (No. 14)
Symmetry-distinct sites (fractional):
Sm: 0.186 0.243 0.267 [4 per cell]
Zr: 0.274 0.745 0.045 [4 per cell]
F: 0.027 0.740 0.943 [4 per cell]
F: 0.028 0.573 0.735 [4 per cell]
F: 0.255 0.536 0.170 [4 per cell]
F: 0.266 0.012 0.148 [4 per cell]
F: 0.282 0.041 0.452 [4 per cell]
F: 0.288 0.536 0.423 [4 per cell]
F: 0.478 0.234 0.359 [4 per cell]

Peak list (6 most intense, 10° ≤ 2θ ≤ 80°, sorted by position)
- (1 1 -2), 21.11 deg, I = 1000
- (2 0 0), 21.68 deg, I = 376
- (2 1 -2), 25.25 deg, I = 240
- (1 1 2), 27.91 deg, I = 298
- (1 2 -4), 42.64 deg, I = 232
- (3 2 -4), 46.17 deg, I = 182


(10)
Starting from a cell relaxed with GGA-PBE, the powder diffraction line list of SmZrF7 was computed for λ = 1.5418 Å (Cu Kα).

Crystal structure
Unit cell a=6.223 b=5.919 c=8.452 alpha=90.00 beta=102.89 gamma=90.00
Space group P2_1 (No. 4)
Symmetry-distinct sites (fractional):
Sm: 0.154 0.000 0.188 [2 per cell]
Zr: 0.315 0.007 0.725 [2 per cell]
F: 0.038 0.708 0.017 [2 per cell]
F: 0.074 0.768 0.709 [2 per cell]
F: 0.099 0.272 0.709 [2 per cell]
F: 0.266 0.001 0.479 [2 per cell]
F: 0.358 0.011 0.971 [2 per cell]
F: 0.438 0.272 0.254 [2 per cell]
F: 0.443 0.745 0.264 [2 per cell]

Peak list (6 most intense, 10° ≤ 2θ ≤ 80°, sorted by position)
- (1 1 0), 20.97 deg, I = 1000
- (0 0 2), 21.57 deg, I = 361
- (1 1 1), 25.09 deg, I = 237
- (1 1 -2), 27.75 deg, I = 292
- (2 2 -1), 42.37 deg, I = 170
- (2 2 1), 45.87 deg, I = 190


(11)
Starting from a cell relaxed with GGA-PBE, the powder diffraction line list of Sn3F8 was computed for λ = 1.5418 Å (Cu Kα).

Crystal structure
Unit cell a=5.494 b=5.497 c=13.603 alpha=90.00 beta=113.30 gamma=90.00
Space group P2_1/c (No. 14)
Symmetry-distinct sites (fractional):
Sn: 0.000 0.000 0.000 [2 per cell]
Sn: 0.373 0.055 0.333 [4 per cell]
F: 0.011 0.031 0.150 [4 per cell]
F: 0.225 0.696 0.047 [4 per cell]
F: 0.327 0.200 0.037 [4 per cell]
F: 0.416 0.107 0.754 [4 per cell]

Peak list (6 most intense, 10° ≤ 2θ ≤ 80°, sorted by position)
- (1 1 -1), 22.89 deg, I = 1000
- (1 0 2), 26.74 deg, I = 312
- (0 1 3), 26.87 deg, I = 600
- (1 0 -4), 26.98 deg, I = 341
- (1 2 2), 42.60 deg, I = 371
- (2 1 -5), 42.86 deg, I = 268